This entry pairs a crystal structure of CaPmMnO4 with its theoretical powder X-ray diffraction pattern. Radiation: copper Kα. Structure: a DFT-relaxed cell (GGA+U, Alexandria).

Structural model:
a = 6.512 Å, b = 6.512 Å, c = 6.512 Å
α = 113.47°, β = 113.41°, γ = 101.80°
Element x y z (fractional)
Ca (0.324, 0.074, 0.250)
Ca (0.676, 0.926, 0.750)
Pm (0.000, 0.500, 0.500)
Pm (0.500, 0.500, 0.000)
Mn (0.000, 0.000, 0.500)
Mn (0.000, 0.500, 0.000)
O (0.168, 0.217, 0.951)
O (0.230, 0.272, 0.542)
O (0.230, 0.688, 0.958)
O (0.234, 0.783, 0.451)
O (0.766, 0.217, 0.549)
O (0.770, 0.312, 0.042)
O (0.770, 0.728, 0.458)
O (0.832, 0.783, 0.049)

Most intense lines, 2θ = 10–80°, in order of falling intensity:
| Position (°2θ) | d/Å | intensity |
| --- | --- | --- |
| 30.0 | 2.979 | 100 |
| 16.4 | 5.391 | 93 |
| 33.2 | 2.696 | 48 |
| 35.5 | 2.527 | 44 |
| 47.2 | 1.927 | 42 |
| 35.1 | 2.557 | 36 |
| 57.9 | 1.594 | 28 |
| 43.5 | 2.080 | 28 |
| 51.1 | 1.787 | 26 |
| 24.9 | 3.572 | 24 |